Starting from a crystal structure in Alexandria, relaxed with GGA-PBE, the powder diffraction line list of MgZnAg2 was computed for Cu Kα.

Atomic structure:
```
data_MgZnAg2
_chemical_formula_sum 'Mg1 Zn1 Ag2'
_symmetry_space_group_name_H-M 'P 1 2/m 1'
_symmetry_Int_Tables_number 10
_cell_length_a 2.9462
_cell_length_b 4.3919
_cell_length_c 5.6137
_cell_angle_alpha 90.00
_cell_angle_beta 103.59
_cell_angle_gamma 90.00
loop_
_symmetry_equiv_pos_as_xyz
'x,y,z'
'-x,-y,-z'
'-x,y,-z'
'x,-y,z'
loop_
_atom_site_label
_atom_site_fract_x
_atom_site_fract_y
_atom_site_fract_z
Mg1 0.0000 0.0000 0.0000
Zn1 0.5000 0.0000 0.5000
Ag1 0.3322 0.5000 0.7412
```

Most intense lines, 2θ = 10–90°, by intensity:
(hkl), d [Å], Rel. int.
0 1 2, 2.319, 100
1 1 -1, 2.375, 60
0 2 0, 2.196, 30
0 1 0, 4.392, 30
1 2 1, 1.595, 18
1 0 0, 2.864, 15

Starting from a crystal structure in Alexandria, relaxed with GGA-PBE, the powder diffraction line list of Pm4P3 was computed for Cu Kα.

Atomic structure:
```
data_Pm4P3
_chemical_formula_sum 'Pm12 P9'
_symmetry_space_group_name_H-M 'R -3 m'
_symmetry_Int_Tables_number 166
_symmetry_space_group_name_Hall '-R 3 2"'
_cell_length_a 4.1182
_cell_length_b 4.1182
_cell_length_c 39.4722
_cell_angle_alpha 90.00
_cell_angle_beta 90.00
_cell_angle_gamma 120.00
loop_
_atom_site_label
_atom_site_fract_x
_atom_site_fract_y
_atom_site_fract_z
Pm1 0.0000 0.0000 0.1242
Pm2 0.0000 0.0000 0.3746
P1 0.0000 0.0000 0.0000
P2 0.0000 0.0000 0.2471
```

Most intense lines, 2θ = 10–90°, by intensity:
(hkl), d [Å], Rel. int.
0 1 8, 2.890, 100
1 0 4, 3.354, 77
1 1 0, 2.059, 38
1 0 16, 2.029, 36
1 1 12, 1.745, 25
0 0 12, 3.289, 25